This entry pairs a crystal structure of KMgAsH12O10 with its calculated powder diffractogram. Radiation: Cu Ka. Structure: a cell relaxed with GGA-PBE.
Peak positions follow from Bragg's law for the DFT cell and can differ from measured ones.

Structural model:
Unit cell a=7.2234 b=6.2424 c=11.2491 alpha=90.00 beta=90.00 gamma=90.00
Atoms (fractional coordinates):
K (0.0000, 0.1153, 0.0000)
K (0.5000, 0.8847, 0.5000)
Mg (0.0000, 0.1288, 0.3274)
Mg (0.5000, 0.8712, 0.8274)
As (0.0000, 0.5069, 0.7140)
As (0.5000, 0.4931, 0.2140)
H (0.1013, 0.7925, 0.4707)
H (0.1121, 0.4889, 0.2026)
H (0.1780, 0.9032, 0.6986)
H (0.1820, 0.6724, 0.9095)
H (0.1960, 0.2943, 0.5247)
H (0.2474, 0.8534, 0.2054)
H (0.2526, 0.1466, 0.7054)
H (0.3040, 0.7057, 0.0247)
H (0.3180, 0.3276, 0.4095)
H (0.3220, 0.0968, 0.1986)
H (0.3879, 0.5111, 0.7026)
H (0.3987, 0.2075, 0.9707)
H (0.6013, 0.2075, 0.9707)
H (0.6121, 0.5111, 0.7026)
H (0.6780, 0.0968, 0.1986)
H (0.6820, 0.3276, 0.4095)
H (0.6960, 0.7057, 0.0247)
H (0.7474, 0.1466, 0.7054)
H (0.7526, 0.8534, 0.2054)
H (0.8040, 0.2943, 0.5247)
H (0.8180, 0.6724, 0.9095)
H (0.8220, 0.9032, 0.6986)
H (0.8879, 0.4889, 0.2026)
H (0.8987, 0.7925, 0.4707)
O (0.0000, 0.3961, 0.2154)
O (0.0000, 0.5085, 0.8670)
O (0.0000, 0.7646, 0.6583)
O (0.0000, 0.8232, 0.4161)
O (0.1961, 0.3802, 0.6616)
O (0.2087, 0.0078, 0.2179)
O (0.2194, 0.2310, 0.4431)
O (0.2806, 0.7690, 0.9431)
O (0.2913, 0.9922, 0.7179)
O (0.3039, 0.6198, 0.1616)
O (0.5000, 0.1768, 0.9161)
O (0.5000, 0.2354, 0.1583)
O (0.5000, 0.4915, 0.3670)
O (0.5000, 0.6039, 0.7154)
O (0.6961, 0.6198, 0.1616)
O (0.7087, 0.9922, 0.7179)
O (0.7194, 0.7690, 0.9431)
O (0.7806, 0.2310, 0.4431)
O (0.7913, 0.0078, 0.2179)
O (0.8039, 0.3802, 0.6616)

Most intense lines, 2θ from 10° to 90°, sorted by position:
| 2theta | intensity | index |
| --- | --- | --- |
| 14.57 | 25 | 1 0 1 |
| 15.76 | 29 | 0 0 2 |
| 20.39 | 100 | 1 1 1 |
| 21.26 | 41 | 0 1 2 |
| 26.79 | 29 | 1 0 3 |
| 29.67 | 38 | 2 1 1 |
| 31.82 | 23 | 0 0 4 |
| 32.79 | 70 | 0 2 2 |